No. 1
# CeNd2Y2
Calculated powder diffraction line list, Cu Kα (λ = 1.5418 Å). Input: DFT lattice parameters and positions (PBE).
Neutral-atom scattering factors, no anomalous dispersion.

Main lines, by intensity (2θ from 5° to 70°):
2θ (°), Rel. int., hkl
29.4, 100, 1 1 2
39.1, 35, 2 0 0
32.9, 30, 1 0 5
64.9, 21, 3 1 2
21.1, 20, 0 0 4
34.8, 20, 1 1 4
25.0, 18, 1 0 3
62.0, 17, 1 1 10

Cell and atoms:
abc: 4.6098 4.6098 16.8583
angles: 90.00 90.00 90.00
Space group I4/mmm (No. 139)
Symmetry-distinct sites (fractional):
Ce: 0.0000 0.0000 0.0000 x2
Nd: 0.0000 0.5000 0.2500 x4
Y: 0.0000 0.0000 0.4065 x4



No. 2
# CeNd8Y5
Calculated powder diffraction line list, Cu Kα (λ = 1.5418 Å). Input: DFT lattice parameters and positions (PBE).
Neutral-atom scattering factors, no anomalous dispersion.

Main lines, by intensity (2θ from 5° to 70°):
2θ (°), Rel. int., hkl
29.0, 100, 1 3 0
28.9, 73, 4 0 -2
32.4, 72, 2 2 -3
32.0, 70, 2 2 1
30.0, 61, 1 1 -3
29.8, 43, 1 1 2
59.0, 34, 1 3 4
30.8, 33, 4 0 -1

Cell and atoms:
abc: 12.3717 9.7185 10.1116
angles: 90.00 126.66 90.00
Space group C2 (No. 5)
Symmetry-distinct sites (fractional):
Ce: 0.0000 0.0000 0.0000 x2
Nd: 0.0703 0.9647 0.7132 x4
Nd: 0.1541 0.6650 0.2013 x4
Nd: 0.1755 0.2988 0.9367 x4
Nd: 0.2453 0.5017 0.5671 x4
Y: 0.0000 0.2748 0.5000 x2
Y: 0.0889 0.6013 0.7345 x4
Y: 0.1571 0.3056 0.2591 x4



No. 3
# CeNd3Y3
Calculated powder diffraction line list, Cu Kα (λ = 1.5418 Å). Input: DFT lattice parameters and positions (PBE).
Neutral-atom scattering factors, no anomalous dispersion.

Main lines, by intensity (2θ from 5° to 70°):
2θ (°), Rel. int., hkl
33.0, 100, 2 2 -2
30.7, 27, 4 0 0
31.1, 27, 0 4 0
56.5, 18, 2 6 -2
44.3, 16, 4 4 0
26.9, 15, 1 1 2
56.0, 15, 6 2 -2
32.8, 13, 3 3 0

Cell and atoms:
abc: 11.6505 11.5076 7.2619
angles: 90.00 90.07 90.00
Space group C2/m (No. 12)
Symmetry-distinct sites (fractional):
Ce: 0.2131 0.0000 0.9999 x4
Nd: 0.0000 0.5000 0.2498 x4
Nd: 0.2494 0.2510 0.2456 x8
Y: 0.0000 0.2104 0.5000 x4
Y: 0.0000 0.2148 0.0000 x4
Y: 0.2199 0.0000 0.4991 x4



No. 4
# Ce4NdZn5
Calculated powder diffraction line list, Cu Kα (λ = 1.5418 Å). Input: DFT lattice parameters and positions (PBE).
Neutral-atom scattering factors, no anomalous dispersion.

Main lines, by intensity (2θ from 5° to 70°):
2θ (°), Rel. int., hkl
34.5, 100, 1 0 5
39.1, 35, 1 1 0
67.9, 27, 2 1 5
58.7, 21, 1 1 10
41.9, 15, 0 0 10
56.5, 12, 2 0 0
20.6, 10, 0 0 5
27.4, 10, 1 0 0

Cell and atoms:
abc: 3.2561 3.2561 21.5591
angles: 90.00 90.00 90.00
Space group P4/mmm (No. 123)
Symmetry-distinct sites (fractional):
Ce: 0.0000 0.0000 0.0998 x2
Ce: 0.0000 0.0000 0.2998 x2
Nd: 0.0000 0.0000 0.5000 x1
Zn: 0.5000 0.5000 0.0000 x1
Zn: 0.5000 0.5000 0.1997 x2
Zn: 0.5000 0.5000 0.3987 x2